Calculated X-ray powder pattern of Na2CaMgP2O8 for λ = 1.5418 Å (Cu Kα), from a PBE-relaxed structure.
Lines closer than 0.1° are merged.

Largest 10 diffraction maxima, sorted by position, 15 to 90 degrees two-theta:
(1 1 -2), 23.47°, rel. 27
(1 1 2), 23.64°, rel. 25
(2 0 -4), 32.54°, rel. 30
(1 1 4), 33.12°, rel. 43
(3 1 0), 33.78°, rel. 100
(0 2 0), 34.24°, rel. 37
(0 0 6), 39.98°, rel. 18
(2 2 -4), 47.96°, rel. 42
(4 0 4), 48.11°, rel. 25
(6 2 0), 71.05°, rel. 17

Cell and atoms:
```
data_Na2CaMgP2O8
_cell_length_a 9.235
_cell_length_b 5.237
_cell_length_c 13.531
_cell_angle_alpha 90.00
_cell_angle_beta 91.00
_cell_angle_gamma 90.00
_space_group_name_H-M_alt 'P 1 21/c 1'
_space_group_IT_number 14
_space_group_name_Hall '-P 2ybc'
loop_
_atom_site_label
_atom_site_fract_x
_atom_site_fract_y
_atom_site_fract_z
Na1 0.082 0.222 0.398
Na2 0.416 0.223 0.090
Ca1 0.264 0.681 0.251
Mg1 0.247 0.745 0.998
P1 0.087 0.227 0.130
P2 0.419 0.230 0.366
O1 0.076 0.696 0.400
O2 0.100 0.167 0.735
O3 0.158 0.079 0.559
O4 0.165 0.537 0.619
O5 0.332 0.522 0.881
O6 0.347 0.051 0.925
O7 0.422 0.191 0.756
O8 0.423 0.692 0.094
```